1.
The following is a simulated PXRD pattern of LiTbGa2Cu. It was derived from DFT lattice parameters and positions (GGA-PBE), using a wavelength of 1.5418 Å.
No peak broadening, texture or thermal motion is included.

Main lines, sorted by position (10 to 90 degrees two-theta):
22.89 deg, I 268; 30.05 deg, I 533; 34.04 deg, I 1000; 34.98 deg, I 768; 43.01 deg, I 543; 49.96 deg, I 382; 55.95 deg, I 475; 62.45 deg, I 174; 68.00 deg, I 297; 73.63 deg, I 169

Structural model:
```
data_LiTbGa2Cu
_chemical_formula_sum 'Li2 Tb2 Ga4 Cu2'
_cell_length_a 4.2062
_cell_length_b 4.2062
_cell_length_c 10.1318
_cell_angle_alpha 90.00
_cell_angle_beta 90.00
_cell_angle_gamma 90.00
_space_group_name_H-M_alt 'I -4 m 2'
_space_group_IT_number 119
_space_group_name_Hall 'I -4 -2'
loop_
_atom_site_label
_atom_site_fract_x
_atom_site_fract_y
_atom_site_fract_z
Li1 0.0000 0.0000 0.0000
Tb1 0.0000 0.5000 0.2500
Ga1 0.0000 0.5000 0.6285
Cu1 0.0000 0.0000 0.5000
```



2.
The following is a simulated PXRD pattern of LiZn2GaCu5. It was derived from DFT lattice parameters and positions (GGA-PBE), using a wavelength of 1.5418 Å.
No peak broadening, texture or thermal motion is included.

Main lines, sorted by position (10 to 90 degrees two-theta):
17.39 deg, I 86; 42.23 deg, I 1000; 46.06 deg, I 192; 47.02 deg, I 182; 54.12 deg, I 114; 67.94 deg, I 110; 73.74 deg, I 84; 74.46 deg, I 82; 82.64 deg, I 122; 84.04 deg, I 119

Structural model:
```
data_LiZn2GaCu5
_chemical_formula_sum 'Li4 Zn8 Ga4 Cu20'
_cell_length_a 3.8651
_cell_length_b 11.8224
_cell_length_c 10.1682
_cell_angle_alpha 90.00
_cell_angle_beta 90.00
_cell_angle_gamma 90.00
_space_group_name_H-M_alt 'C m c 21'
_space_group_IT_number 36
loop_
_space_group_symop_operation_xyz
'x,y,z'
'-x,-y,z+1/2'
'-x,y,z'
'x,-y,z+1/2'
'x+1/2,y+1/2,z'
'-x+1/2,-y+1/2,z+1/2'
'-x+1/2,y+1/2,z'
'x+1/2,-y+1/2,z+1/2'
loop_
_atom_site_label
_atom_site_fract_x
_atom_site_fract_y
_atom_site_fract_z
Li1 0.0000 0.0829 0.0000
Zn1 0.0000 0.4186 0.3224
Zn2 0.0000 0.4200 0.9998
Ga1 0.0000 0.2488 0.5002
Cu1 0.0000 0.0813 0.6653
Cu2 0.0000 0.0841 0.3292
Cu3 0.0000 0.2474 0.1650
Cu4 0.0000 0.2494 0.8311
Cu5 0.0000 0.4127 0.6672
```



3.
The following is a simulated PXRD pattern of Li2Zn2GaCu2. It was derived from DFT lattice parameters and positions (GGA-PBE), using a wavelength of 1.5418 Å.
No peak broadening, texture or thermal motion is included.

Main lines, sorted by position (10 to 90 degrees two-theta):
14.68 deg, I 320; 25.93 deg, I 488; 26.43 deg, I 239; 42.21 deg, I 514; 42.32 deg, I 502; 42.58 deg, I 1000; 42.91 deg, I 966; 61.31 deg, I 315; 77.39 deg, I 312; 78.57 deg, I 151

Structural model:
```
data_Li2Zn2GaCu2
_chemical_formula_sum 'Li4 Zn4 Ga2 Cu4'
_cell_length_a 7.3357
_cell_length_b 4.2820
_cell_length_c 6.5609
_cell_angle_alpha 90.00
_cell_angle_beta 113.15
_cell_angle_gamma 90.00
_space_group_name_H-M_alt 'C 1 2/m 1'
_space_group_IT_number 12
loop_
_space_group_symop_operation_xyz
'x,y,z'
'-x,-y,-z'
'-x,y,-z'
'x,-y,z'
'x+1/2,y+1/2,z'
'-x+1/2,-y+1/2,-z'
'-x+1/2,y+1/2,-z'
'x+1/2,-y+1/2,z'
loop_
_atom_site_label
_atom_site_fract_x
_atom_site_fract_y
_atom_site_fract_z
Li1 0.2212 0.0000 0.1595
Zn1 0.0669 0.0000 0.7095
Ga1 0.0000 0.5000 0.0000
Cu1 0.1407 0.5000 0.4172
```



4.
The following is a simulated PXRD pattern of MgGa6Cu6. It was derived from DFT lattice parameters and positions (GGA-PBE), using a wavelength of 1.5418 Å.
No peak broadening, texture or thermal motion is included.

Main lines, sorted by position (10 to 90 degrees two-theta):
35.34 deg, I 317; 40.63 deg, I 401; 41.03 deg, I 342; 41.23 deg, I 214; 41.47 deg, I 629; 42.78 deg, I 346; 46.18 deg, I 1000; 46.72 deg, I 442; 47.64 deg, I 349; 74.75 deg, I 226

Structural model:
```
data_MgGa6Cu6
_chemical_formula_sum 'Mg2 Ga12 Cu12'
_cell_length_a 5.1522
_cell_length_b 8.4559
_cell_length_c 8.7578
_cell_angle_alpha 90.00
_cell_angle_beta 90.00
_cell_angle_gamma 90.00
_space_group_name_H-M_alt 'I m m m'
_space_group_IT_number 71
_space_group_name_Hall '-I 2 2'
loop_
_atom_site_label
_atom_site_fract_x
_atom_site_fract_y
_atom_site_fract_z
Mg1 0.0000 0.0000 0.0000
Ga1 0.0000 0.0000 0.3442
Ga2 0.0000 0.3473 0.0000
Ga3 0.0000 0.5000 0.3183
Cu1 0.0000 0.2594 0.5000
Cu2 0.2500 0.2500 0.2500
```



5.
The following is a simulated PXRD pattern of Mg4Ga5Cu3. It was derived from DFT lattice parameters and positions (GGA-PBE), using a wavelength of 1.5418 Å.
No peak broadening, texture or thermal motion is included.

Main lines, sorted by position (10 to 90 degrees two-theta):
17.75 deg, I 1000; 19.99 deg, I 413; 20.46 deg, I 701; 34.18 deg, I 407; 35.94 deg, I 976; 41.19 deg, I 407; 42.86 deg, I 835; 43.81 deg, I 673; 44.50 deg, I 351; 45.58 deg, I 427

Structural model:
```
data_Mg4Ga5Cu3
_chemical_formula_sum 'Mg4 Ga5 Cu3'
_cell_length_a 4.7719
_cell_length_b 5.4621
_cell_length_c 9.3254
_cell_angle_alpha 87.54
_cell_angle_beta 80.36
_cell_angle_gamma 66.22
_space_group_name_H-M_alt 'P -1'
_space_group_IT_number 2
loop_
_space_group_symop_operation_xyz
'x,y,z'
'-x,-y,-z'
loop_
_atom_site_label
_atom_site_fract_x
_atom_site_fract_y
_atom_site_fract_z
Mg1 0.1027 0.4784 0.1586
Mg2 0.1323 0.2052 0.4978
Ga1 0.0000 0.0000 0.0000
Ga2 0.3792 0.9516 0.7473
Ga3 0.4584 0.4761 0.6416
Cu1 0.1812 0.9268 0.2441
Cu2 0.5000 0.0000 0.0000
```



6.
The following is a simulated PXRD pattern of Mg3Ga4Cu8. It was derived from DFT lattice parameters and positions (GGA-PBE), using a wavelength of 1.5418 Å.
No peak broadening, texture or thermal motion is included.

Main lines, sorted by position (10 to 90 degrees two-theta):
12.71 deg, I 97; 14.69 deg, I 173; 25.59 deg, I 172; 38.80 deg, I 249; 42.40 deg, I 1000; 44.44 deg, I 203; 49.57 deg, I 155; 50.18 deg, I 232; 75.15 deg, I 89; 77.56 deg, I 219

Structural model:
```
data_Mg3Ga4Cu8
_chemical_formula_sum 'Mg24 Ga32 Cu64'
_cell_length_a 12.0599
_cell_length_b 12.0599
_cell_length_c 12.0599
_cell_angle_alpha 90.00
_cell_angle_beta 90.00
_cell_angle_gamma 90.00
_space_group_name_H-M_alt 'F m -3 m'
_space_group_IT_number 225
_space_group_name_Hall '-F 4 2 3'
loop_
_atom_site_label
_atom_site_fract_x
_atom_site_fract_y
_atom_site_fract_z
Mg1 0.0000 0.0000 0.2271
Ga1 0.0000 0.0000 0.0000
Ga2 0.0000 0.0000 0.5000
Ga3 0.0000 0.2500 0.2500
Cu1 0.1221 0.1221 0.3779
Cu2 0.1690 0.1690 0.1690
```



7.
The following is a simulated PXRD pattern of MgGa12Cu6. It was derived from DFT lattice parameters and positions (GGA-PBE), using a wavelength of 1.5418 Å.
No peak broadening, texture or thermal motion is included.

Main lines, sorted by position (10 to 90 degrees two-theta):
13.78 deg, I 329; 15.53 deg, I 228; 34.40 deg, I 829; 35.52 deg, I 517; 41.23 deg, I 1000; 42.20 deg, I 857; 45.40 deg, I 404; 46.73 deg, I 433; 51.02 deg, I 537; 82.10 deg, I 212

Structural model:
```
data_MgGa12Cu6
_chemical_formula_sum 'Mg3 Ga36 Cu18'
_cell_length_a 11.4084
_cell_length_b 11.4084
_cell_length_c 8.4569
_cell_angle_alpha 90.00
_cell_angle_beta 90.00
_cell_angle_gamma 120.00
_space_group_name_H-M_alt 'R -3 m'
_space_group_IT_number 166
_space_group_name_Hall '-R 3 2"'
loop_
_atom_site_label
_atom_site_fract_x
_atom_site_fract_y
_atom_site_fract_z
Mg1 0.0000 0.0000 0.0000
Ga1 0.0000 0.3839 0.5000
Ga2 0.0834 0.1668 0.2954
Cu1 0.0619 0.5309 0.2383
```



8.
The following is a simulated PXRD pattern of Mg2Ga3Cu4. It was derived from DFT lattice parameters and positions (GGA-PBE), using a wavelength of 1.5418 Å.
No peak broadening, texture or thermal motion is included.

Main lines, sorted by position (10 to 90 degrees two-theta):
17.36 deg, I 292; 21.98 deg, I 592; 36.14 deg, I 332; 38.19 deg, I 308; 43.18 deg, I 1000; 44.10 deg, I 828; 46.54 deg, I 236; 49.31 deg, I 500; 53.81 deg, I 248; 75.97 deg, I 365

Structural model:
```
data_Mg2Ga3Cu4
_chemical_formula_sum 'Mg8 Ga12 Cu16'
_cell_length_a 5.3124
_cell_length_b 15.4370
_cell_length_c 6.8152
_cell_angle_alpha 90.00
_cell_angle_beta 90.00
_cell_angle_gamma 90.00
_space_group_name_H-M_alt 'C m c e'
_space_group_IT_number 64
_space_group_name_Hall '-C 2ac 2'
loop_
_atom_site_label
_atom_site_fract_x
_atom_site_fract_y
_atom_site_fract_z
Mg1 0.0000 0.0913 0.1088
Ga1 0.0000 0.0000 0.5000
Ga2 0.2500 0.2438 0.7500
Cu1 0.0000 0.1612 0.4866
Cu2 0.2500 0.0773 0.7500
```